Entry 1:
Diffraction record for Cs4Rb6Tl. The XRD peak list is theoretical, not measured: it uses a GGA-PBE-relaxed structure and Cu Kα X-rays.

Atomic structure:
```
Cs4Rb6Tl
1.0
12.3442 0.0000 0.0000
0.0000 12.3442 0.0000
0.0000 0.0000 12.9016
Cs Rb Tl
8 12 2
Cartesian
1.7672 4.4049 3.2254 Cs
1.7672 4.4049 9.6762 Cs
4.4049 10.5770 3.2254 Cs
4.4049 10.5770 9.6762 Cs
7.9393 1.7672 3.2254 Cs
7.9393 1.7672 9.6762 Cs
10.5770 7.9393 3.2254 Cs
10.5770 7.9393 9.6762 Cs
0.0000 0.0000 2.4948 Rb
0.0000 0.0000 10.4068 Rb
1.5888 8.7103 6.4508 Rb
2.5381 7.7609 0.0000 Rb
3.6340 1.5888 6.4508 Rb
4.5833 2.5381 0.0000 Rb
6.1721 6.1721 3.9560 Rb
6.1721 6.1721 8.9457 Rb
7.7609 9.8061 0.0000 Rb
8.7103 10.7555 6.4508 Rb
9.8061 4.5833 0.0000 Rb
10.7555 3.6340 6.4508 Rb
0.0000 0.0000 6.4508 Tl
6.1721 6.1721 0.0000 Tl
```

The 12 most intense peaks (10° ≤ 2θ ≤ 90°), by intensity:
| 2θ/deg | intensity |
| --- | --- |
| 21.2 | 100 |
| 22.8 | 68 |
| 36.1 | 26 |
| 21.9 | 21 |
| 27.7 | 19 |
| 32.4 | 17 |
| 33.5 | 16 |
| 41.8 | 15 |
| 45.3 | 14 |
| 36.6 | 13 |
| 20.3 | 12 |
| 32.2 | 11 |

---

Entry 2:
Diffraction record for Rb3U2PaAs6. The XRD peak list is theoretical, not measured: it uses a GGA-PBE-relaxed structure and Cu Kα X-rays.

Atomic structure:
```
Rb3U2PaAs6
1.0
3.7193 -6.4420 0.0000
3.7193 6.4420 0.0000
-2.4799 0.0000 7.9402
Rb U Pa As
3 2 1 6
Cartesian
0.0000 0.0000 0.0000 Rb
3.7193 2.1429 0.0000 Rb
3.7193 -2.1429 0.0000 Rb
2.4794 4.2942 3.9701 U
2.4794 -4.2942 3.9701 U
2.4794 0.0000 3.9701 Pa
1.2311 2.1617 2.5685 As
-0.0171 0.0000 5.3711 As
1.2311 -2.1617 2.5685 As
3.7276 2.1617 5.3717 As
4.9758 0.0000 2.5691 As
3.7276 -2.1617 5.3717 As
```

The 12 most intense peaks (10° ≤ 2θ ≤ 90°), by intensity:
| 2θ/deg | intensity |
| --- | --- |
| 28.3 | 100 |
| 11.1 | 62 |
| 42.1 | 39 |
| 38.7 | 30 |
| 35.8 | 21 |
| 51.5 | 19 |
| 25.1 | 19 |
| 68.6 | 16 |
| 22.4 | 14 |
| 43.7 | 14 |
| 45.2 | 14 |
| 48.2 | 12 |